Computed X-ray powder pattern of Cs3Nd2ThS6 for Cu Kα, 1.54184 Å, from a cell relaxed with PBE.

Main lines, sorted by position (5 to 70 degrees two-theta):
Position (°2θ)  I_rel
21.9  31
25.4  56
28.5  100
38.5  38
42.8  34
44.7  25
48.6  23
52.2  18
63.6  21
69.8  15

Structural model:
Cell: 7.3134 12.6675 8.4745 Å, 90.00 106.72 90.00°
Space group C2/m (No. 12)
Symmetry-distinct sites (fractional):
Cs (0.0000, 0.0000, 0.0000) (multiplicity 2)
Cs (0.0000, 0.3317, 0.0000) (multiplicity 4)
Nd (0.0000, 0.1666, 0.5000) (multiplicity 4)
Th (0.0000, 0.5000, 0.5000) (multiplicity 2)
S (0.2256, 0.3368, 0.6873) (multiplicity 8)
S (0.2364, 0.0000, 0.6878) (multiplicity 4)

***

Computed X-ray powder pattern of Pd2PtI6 for Cu Kα, 1.54184 Å, from a cell relaxed with PBE.

Main lines, sorted by position (5 to 70 degrees two-theta):
Position (°2θ)  I_rel
12.3  67
15.8  94
19.5  68
20.6  42
27.1  55
28.7  100
29.5  31
34.4  34
39.6  72
47.8  31

Structural model:
Cell: 15.7583 8.0903 11.3168 Å, 90.00 97.35 90.00°
Space group C2/c (No. 15)
Symmetry-distinct sites (fractional):
Pd (0.2500, 0.2496, 0.2500) (multiplicity 8)
Pt (0.0000, 0.9995, 0.2500) (multiplicity 4)
I (0.0872, 0.2344, 0.1589) (multiplicity 8)
I (0.0872, 0.2353, 0.6589) (multiplicity 8)
I (0.2369, 0.9996, 0.3967) (multiplicity 8)

***

Computed X-ray powder pattern of NaPrSeI for Cu Kα, 1.54184 Å, from a cell relaxed with PBE.

Main lines, sorted by position (5 to 70 degrees two-theta):
Position (°2θ)  I_rel
11.1  44
24.6  52
28.6  57
30.8  100
36.0  32
38.9  25
42.7  54
53.5  21
55.6  12
64.3  24

Structural model:
Cell: 4.2361 4.2361 23.8369 Å, 90.00 90.00 120.00°
Space group R3m (No. 160, hexagonal axes)
Symmetry-distinct sites (fractional):
Na (0.0000, 0.0000, 0.0000) (multiplicity 3)
Pr (0.0000, 0.0000, 0.8065) (multiplicity 3)
Se (0.0000, 0.0000, 0.3999) (multiplicity 3)
I (0.0000, 0.0000, 0.5680) (multiplicity 3)

***

Computed X-ray powder pattern of ThGa2SiRh2 for Cu Kα, 1.54184 Å, from a cell relaxed with PBE.

Main lines, sorted by position (5 to 70 degrees two-theta):
Position (°2θ)  I_rel
25.3  33
31.8  15
32.3  100
37.7  59
40.1  59
52.0  15
56.1  37
56.9  15
57.9  20
67.9  24

Structural model:
Cell: 4.5026 4.5026 5.6361 Å, 90.00 90.00 90.00°
Space group P4/mmm (No. 123)
Symmetry-distinct sites (fractional):
Th (0.0000, 0.0000, 0.0000) (multiplicity 1)
Ga (0.5000, 0.5000, 0.2350) (multiplicity 2)
Si (0.0000, 0.0000, 0.5000) (multiplicity 1)
Rh (0.0000, 0.5000, 0.5000) (multiplicity 2)

***

Computed X-ray powder pattern of Li6HgPd8 for Cu Kα, 1.54184 Å, from a cell relaxed with PBE.

Main lines, sorted by position (5 to 70 degrees two-theta):
Position (°2θ)  I_rel
16.2  43
18.2  100
30.3  77
39.7  53
40.5  66
40.9  98
41.4  51
42.0  26
45.3  26
48.5  34

Structural model:
Cell: 7.0042 7.0042 16.3763 Å, 90.00 90.00 120.00°
Space group R-3 (No. 148, hexagonal axes)
Symmetry-distinct sites (fractional):
Li (0.0109, 0.2443, 0.2122) (multiplicity 18)
Hg (0.0000, 0.0000, 0.5000) (multiplicity 3)
Pd (0.0000, 0.0000, 0.0835) (multiplicity 6)
Pd (0.0491, 0.7936, 0.6340) (multiplicity 18)

***

Computed X-ray powder pattern of ReSnBr6 for Cu Kα, 1.54184 Å, from a cell relaxed with PBE.

Main lines, sorted by position (5 to 70 degrees two-theta):
Position (°2θ)  I_rel
15.3  83
15.7  100
22.1  36
23.4  49
26.2  46
29.7  53
33.0  42
34.1  63
37.0  51
40.7  49

Structural model:
Cell: 11.7179 8.3606 10.5362 Å, 90.00 93.18 90.00°
Space group C2/c (No. 15)
Symmetry-distinct sites (fractional):
Re (0.2500, 0.2500, 0.0000) (multiplicity 4)
Sn (0.0000, 0.0249, 0.2500) (multiplicity 4)
Br (0.0710, 0.3216, 0.1119) (multiplicity 8)
Br (0.1482, 0.2967, 0.7884) (multiplicity 8)
Br (0.1760, 0.0364, 0.4911) (multiplicity 8)